# 1
Starting from the PBE+U geometry in the Materials Project, the powder diffractogram of BaYMgCuNiO5 was calculated for Cu Ka.
Kinematic intensities with the Lorentz-polarization factor, no thermal factor.

Largest 12 diffraction maxima, by angle, 15° ≤ 2θ ≤ 90°:
d = 3.732 Å, 23.84 deg, rel. 45, (0 1 1); d = 3.092 Å, 28.88 deg, rel. 55, (0 1 2); d = 2.766 Å, 32.37 deg, rel. 93, (1 1 0); d = 2.657 Å, 33.73 deg, rel. 34, (1 1 -1); d = 2.505 Å, 35.84 deg, rel. 100, (0 1 3); d = 2.446 Å, 36.75 deg, rel. 59, (1 0 -3); d = 2.429 Å, 37.01 deg, rel. 58, (1 0 3); d = 2.389 Å, 37.65 deg, rel. 38, (0 0 4); d = 2.027 Å, 44.71 deg, rel. 52, (0 2 0); d = 1.891 Å, 48.11 deg, rel. 40, (2 0 0); d = 1.561 Å, 59.20 deg, rel. 28, (1 2 -3); d = 1.383 Å, 67.75 deg, rel. 34, (2 2 0)

```
data_BaYMgCuNiO5
_chemical_formula_sum 'Ba1 Y1 Mg1 Cu1 Ni1 O5'
_cell_length_a 3.7828
_cell_length_b 4.0538
_cell_length_c 9.5613
_cell_angle_alpha 90.00
_cell_angle_beta 90.40
_cell_angle_gamma 90.00
_symmetry_space_group_name_H-M 'P 1 m 1'
_symmetry_Int_Tables_number 6
loop_
_symmetry_equiv_pos_as_xyz
'x,y,z'
'x,-y,z'
loop_
_atom_site_label
_atom_site_fract_x
_atom_site_fract_y
_atom_site_fract_z
Ba1 0.0000 0.0000 0.0000
Y1 0.9936 0.0000 0.6394
Mg1 0.9897 0.5000 0.2905
Cu1 0.4920 0.5000 0.5045
Ni1 0.4949 0.5000 0.8014
O1 0.4881 0.5000 0.1937
O2 0.4915 0.0000 0.5066
O3 0.4948 0.0000 0.8110
O4 0.9918 0.5000 0.4956
O5 0.9948 0.5000 0.8051
```



# 2
Starting from the PBE+U geometry in the Materials Project, the powder diffractogram of Cr3Co3Sb2O16 was calculated for Cu Ka.
Kinematic intensities with the Lorentz-polarization factor, no thermal factor.

Largest 12 diffraction maxima, by angle, 15° ≤ 2θ ≤ 90°:
d = 4.605 Å, 19.28 deg, rel. 36, (0 0 2); d = 4.433 Å, 20.03 deg, rel. 100, (1 1 1); d = 4.409 Å, 20.14 deg, rel. 97, (0 1 -1); d = 4.355 Å, 20.39 deg, rel. 87, (1 0 -1); d = 3.394 Å, 26.26 deg, rel. 32, (0 1 2); d = 3.352 Å, 26.59 deg, rel. 32, (1 1 -2); d = 2.641 Å, 33.94 deg, rel. 35, (1 0 3); d = 2.592 Å, 34.61 deg, rel. 33, (1 0 -3); d = 2.469 Å, 36.39 deg, rel. 44, (2 1 2); d = 2.438 Å, 36.87 deg, rel. 42, (1 2 -2); d = 2.424 Å, 37.09 deg, rel. 63, (2 2 1); d = 1.448 Å, 64.36 deg, rel. 40, (2 -2 0)

```
data_Cr3Co3Sb2O16
_chemical_formula_sum 'Cr3 Co3 Sb2 O16'
_cell_length_a 5.7656
_cell_length_b 5.7873
_cell_length_c 9.2124
_cell_angle_alpha 89.41
_cell_angle_beta 88.61
_cell_angle_gamma 60.20
_symmetry_space_group_name_H-M 'P 1'
_symmetry_Int_Tables_number 1
loop_
_symmetry_equiv_pos_as_xyz
'x,y,z'
loop_
_atom_site_label
_atom_site_fract_x
_atom_site_fract_y
_atom_site_fract_z
Cr1 0.0000 0.0000 0.0000
Cr2 0.1745 0.6612 0.5062
Cr3 0.5119 0.4938 0.0172
Co1 0.1656 0.1693 0.5122
Co2 0.5124 0.9997 0.0119
Co3 0.6784 0.6591 0.5131
Sb1 0.0086 0.4816 0.2350
Sb2 0.6631 0.1579 0.7301
O1 0.0074 0.9896 0.6198
O2 0.1758 0.6538 0.1182
O3 0.1776 0.1480 0.1255
O4 0.3008 0.3466 0.3885
O5 0.3405 0.8372 0.9192
O6 0.3487 0.8289 0.4182
O7 0.3766 0.3076 0.8916
O8 0.4933 0.9862 0.6234
O9 0.4980 0.5031 0.6213
O10 0.6705 0.6574 0.1200
O11 0.6817 0.1537 0.1179
O12 0.8156 0.3124 0.8817
O13 0.8176 0.8637 0.8836
O14 0.8509 0.7898 0.3860
O15 0.8529 0.3461 0.3957
O16 0.9937 0.4970 0.6133
```



# 3
Starting from the PBE+U geometry in the Materials Project, the powder diffractogram of Mn3BiO8 was calculated for Cu Ka.
Kinematic intensities with the Lorentz-polarization factor, no thermal factor.

Largest 12 diffraction maxima, by angle, 15° ≤ 2θ ≤ 90°:
d = 4.971 Å, 17.84 deg, rel. 100, (1 1 1); d = 3.850 Å, 23.10 deg, rel. 37, (2 1 0); d = 3.515 Å, 25.34 deg, rel. 24, (2 1 1); d = 2.723 Å, 32.90 deg, rel. 13, (3 1 0); d = 2.596 Å, 34.55 deg, rel. 44, (3 1 1); d = 2.485 Å, 36.14 deg, rel. 26, (2 2 2); d = 2.388 Å, 37.67 deg, rel. 18, (3 2 0); d = 2.152 Å, 41.98 deg, rel. 39, (4 0 0); d = 1.657 Å, 55.46 deg, rel. 14, (5 1 1); d = 1.599 Å, 57.66 deg, rel. 16, (4 3 2); d = 1.522 Å, 60.87 deg, rel. 20, (4 4 0); d = 1.455 Å, 63.98 deg, rel. 15, (5 3 1)

```
data_Mn3BiO8
_chemical_formula_sum 'Mn12 Bi4 O32'
_cell_length_a 8.6094
_cell_length_b 8.6094
_cell_length_c 8.6094
_cell_angle_alpha 90.00
_cell_angle_beta 90.00
_cell_angle_gamma 90.00
_symmetry_space_group_name_H-M 'P 43 3 2'
_symmetry_Int_Tables_number 212
_symmetry_space_group_name_Hall 'P 4acd 2ab 3'
loop_
_atom_site_label
_atom_site_fract_x
_atom_site_fract_y
_atom_site_fract_z
Mn1 0.0989 0.1511 0.6250
Bi1 0.1250 0.8750 0.3750
O1 0.0716 0.1384 0.4026
O2 0.1243 0.3757 0.6243
```



# 4
Starting from the PBE+U geometry in the Materials Project, the powder diffractogram of LaNiO3 was calculated for Cu Ka.
Kinematic intensities with the Lorentz-polarization factor, no thermal factor.

Largest 12 diffraction maxima, by angle, 15° ≤ 2θ ≤ 90°:
d = 3.862 Å, 23.03 deg, rel. 10, (2 0 1); d = 2.731 Å, 32.80 deg, rel. 100, (4 0 0); d = 2.230 Å, 40.46 deg, rel. 16, (4 2 0); d = 1.932 Å, 47.02 deg, rel. 21, (4 0 2); d = 1.928 Å, 47.14 deg, rel. 11, (0 4 0); d = 1.577 Å, 58.54 deg, rel. 32, (6 2 1); d = 1.575 Å, 58.61 deg, rel. 6, (4 4 0); d = 1.366 Å, 68.69 deg, rel. 6, (8 0 0); d = 1.365 Å, 68.79 deg, rel. 12, (4 4 2); d = 1.222 Å, 78.23 deg, rel. 11, (8 0 2); d = 1.220 Å, 78.42 deg, rel. 5, (2 6 1); d = 1.115 Å, 87.50 deg, rel. 6, (8 4 0)

```
data_LaNiO3
_chemical_formula_sum 'La8 Ni8 O24'
_cell_length_a 10.9270
_cell_length_b 7.7112
_cell_length_c 5.4681
_cell_angle_alpha 90.00
_cell_angle_beta 90.03
_cell_angle_gamma 90.00
_symmetry_space_group_name_H-M 'C 1 m 1'
_symmetry_Int_Tables_number 8
loop_
_symmetry_equiv_pos_as_xyz
'x,y,z'
'x,-y,z'
'x+1/2,y+1/2,z'
'x+1/2,-y+1/2,z'
loop_
_atom_site_label
_atom_site_fract_x
_atom_site_fract_y
_atom_site_fract_z
La1 0.0000 0.2468 0.0000
La2 0.2504 0.2500 0.4997
Ni1 0.0002 0.0000 0.4999
Ni2 0.0000 0.5000 0.4998
Ni3 0.2495 0.5000 0.0001
Ni4 0.2507 0.0000 0.9998
O1 0.9997 0.2592 0.4997
O2 0.1260 0.5000 0.2453
O3 0.1268 0.5000 0.7528
O4 0.1287 0.0000 0.2419
O5 0.1298 0.0000 0.7559
O6 0.2501 0.2499 0.0000
O7 0.3704 0.5000 0.2441
O8 0.3714 0.5000 0.7577
O9 0.3733 0.0000 0.2469
O10 0.3741 0.0000 0.7545
```



# 5
Starting from the PBE+U geometry in the Materials Project, the powder diffractogram of Li3Fe8B8O24 was calculated for Cu Ka.
Kinematic intensities with the Lorentz-polarization factor, no thermal factor.

Largest 12 diffraction maxima, by angle, 15° ≤ 2θ ≤ 90°:
d = 4.562 Å, 19.46 deg, rel. 46, (0 2 0); d = 4.513 Å, 19.67 deg, rel. 83, (1 -1 0); d = 4.157 Å, 21.37 deg, rel. 49, (1 1 -1); d = 4.132 Å, 21.51 deg, rel. 100, (0 2 -1); d = 3.424 Å, 26.03 deg, rel. 71, (0 2 2); d = 3.389 Å, 26.30 deg, rel. 26, (1 1 -2); d = 2.644 Å, 33.91 deg, rel. 25, (1 3 0); d = 2.621 Å, 34.21 deg, rel. 35, (2 0 0); d = 2.609 Å, 34.38 deg, rel. 34, (1 -3 0); d = 2.554 Å, 35.14 deg, rel. 91, (0 0 4); d = 2.227 Å, 40.50 deg, rel. 27, (0 4 1); d = 2.203 Å, 40.96 deg, rel. 25, (2 -2 1)

```
data_Li3Fe8B8O24
_chemical_formula_sum 'Li3 Fe8 B8 O24'
_cell_length_a 5.2427
_cell_length_b 9.1046
_cell_length_c 10.2152
_cell_angle_alpha 89.18
_cell_angle_beta 89.75
_cell_angle_gamma 89.12
_symmetry_space_group_name_H-M 'P 1'
_symmetry_Int_Tables_number 1
loop_
_symmetry_equiv_pos_as_xyz
'x,y,z'
loop_
_atom_site_label
_atom_site_fract_x
_atom_site_fract_y
_atom_site_fract_z
Li1 0.0000 0.0000 0.0000
Li2 0.0249 0.9945 0.5011
Li3 0.6623 0.6525 0.7395
Fe1 0.0114 0.3299 0.4606
Fe2 0.0125 0.6526 0.9615
Fe3 0.1619 0.8148 0.2136
Fe4 0.1801 0.4733 0.7080
Fe5 0.5032 0.1671 0.9590
Fe6 0.5109 0.8183 0.4581
Fe7 0.6503 0.9886 0.7133
Fe8 0.6660 0.3152 0.2130
B1 0.0108 0.6563 0.4653
B2 0.1664 0.4846 0.2068
B3 0.1677 0.8136 0.7067
B4 0.5064 0.8269 0.9573
B5 0.5096 0.1477 0.4565
B6 0.6603 0.9900 0.2068
B7 0.6809 0.3271 0.7110
B8 0.9977 0.3190 0.9625
O1 0.0078 0.3779 0.2633
O2 0.0286 0.9382 0.6851
O3 0.0554 0.6108 0.1528
O4 0.0575 0.6861 0.7604
O5 0.0891 0.4497 0.9144
O6 0.1385 0.5264 0.4944
O7 0.1428 0.1920 0.9609
O8 0.1494 0.7816 0.4269
O9 0.2467 0.8244 0.9891
O10 0.2512 0.1638 0.4629
O11 0.4235 0.4644 0.2054
O12 0.4301 0.8079 0.6699
O13 0.5183 0.8805 0.2687
O14 0.5312 0.1199 0.1634
O15 0.5518 0.4567 0.7175
O16 0.5849 0.1989 0.7689
O17 0.6187 0.9637 0.9295
O18 0.6345 0.0184 0.4995
O19 0.6548 0.7034 0.9464
O20 0.6665 0.2580 0.4068
O21 0.7499 0.3147 0.0138
O22 0.7518 0.6678 0.4744
O23 0.9139 0.9759 0.1860
O24 0.9188 0.3173 0.6488
```